[1]
The following is a simulated X-ray powder pattern of ZrMn4N4. It was derived from a crystal structure in the Materials Project, relaxed with PBE, using Cu Kα X-rays.
Peak positions follow from Bragg's law for the DFT cell and can differ from measured ones.

Structure:
Lattice parameters (Å, degrees): 5.162 5.574 7.352 80.48 87.16 67.84
Fractional positions:
Zr: 0.248 0.059 0.172
Zr: 0.752 0.941 0.828
Mn: 0.216 0.418 0.756
Mn: 0.248 0.993 0.599
Mn: 0.251 0.555 0.416
Mn: 0.267 0.581 0.060
Mn: 0.733 0.419 0.940
Mn: 0.749 0.445 0.584
Mn: 0.752 0.007 0.401
Mn: 0.784 0.582 0.244
N: 0.003 0.196 0.794
N: 0.035 0.754 0.613
N: 0.462 0.264 0.976
N: 0.495 0.224 0.586
N: 0.505 0.776 0.414
N: 0.538 0.736 0.024
N: 0.965 0.246 0.387
N: 0.997 0.804 0.206

Main lines, by angle (2θ = 15–90°):
2θ/deg, I_rel, hkl
31.2, 672, 1 0 2
33.9, 780, 1 1 -2
37.6, 1000, 2 0 0
41.0, 657, 2 2 0
41.2, 591, 1 -1 2
45.9, 712, -1 1 3

***

[2]
The following is a simulated X-ray powder pattern of ZrMnN2. It was derived from a crystal structure in the Materials Project, relaxed with PBE, using Cu Kα X-rays.
Peak positions follow from Bragg's law for the DFT cell and can differ from measured ones.

Structure:
Lattice parameters (Å, degrees): 6.383 7.390 4.442 90.00 90.00 90.00
Fractional positions:
Zr: 0.095 0.130 0.000
Zr: 0.405 0.630 0.500
Zr: 0.595 0.370 0.000
Zr: 0.905 0.870 0.500
Mn: 0.078 0.627 0.000
Mn: 0.422 0.127 0.500
Mn: 0.578 0.873 0.000
Mn: 0.922 0.373 0.500
N: 0.072 0.621 0.499
N: 0.082 0.122 0.500
N: 0.418 0.622 0.000
N: 0.428 0.121 0.999
N: 0.572 0.879 0.499
N: 0.582 0.378 0.500
N: 0.918 0.878 0.000
N: 0.928 0.379 0.999

Main lines, by angle (2θ = 15–90°):
2θ/deg, I_rel, hkl
27.9, 638, 1 2 0
34.6, 1000, 2 0 1
40.6, 290, 0 0 2
49.4, 302, 3 2 0
50.0, 224, 1 2 2
65.8, 355, 0 4 2

***

[3]
The following is a simulated X-ray powder pattern of MnNbP. It was derived from a crystal structure in the Materials Project, relaxed with PBE, using Cu Kα X-rays.
Peak positions follow from Bragg's law for the DFT cell and can differ from measured ones.

Structure:
Lattice parameters (Å, degrees): 6.186 3.589 7.169 90.00 90.00 90.00
Fractional positions:
Mn: 0.140 0.250 0.058
Mn: 0.360 0.750 0.558
Mn: 0.640 0.250 0.442
Mn: 0.860 0.750 0.942
Nb: 0.028 0.250 0.674
Nb: 0.472 0.750 0.174
Nb: 0.528 0.250 0.826
Nb: 0.972 0.750 0.326
P: 0.227 0.750 0.873
P: 0.273 0.250 0.373
P: 0.727 0.750 0.627
P: 0.773 0.250 0.127

Main lines, by angle (2θ = 15–90°):
2θ/deg, I_rel, hkl
38.4, 1000, 1 1 2
40.5, 890, 1 0 3
45.8, 158, 3 0 1
50.9, 242, 0 2 0
67.0, 164, 1 2 3
75.0, 184, 3 1 4

***

[4]
The following is a simulated X-ray powder pattern of MnNb2S4. It was derived from a crystal structure in the Materials Project, relaxed with PBE, using Cu Kα X-rays.
Peak positions follow from Bragg's law for the DFT cell and can differ from measured ones.

Structure:
Lattice parameters (Å, degrees): 3.289 3.289 13.769 90.00 90.00 120.00
Fractional positions:
Mn: 0.000 0.000 0.000
Nb: 0.333 0.667 0.275
Nb: 0.667 0.333 0.725
S: 0.333 0.667 0.099
S: 0.333 0.667 0.614
S: 0.667 0.333 0.386
S: 0.667 0.333 0.901

Main lines, by angle (2θ = 15–90°):
2θ/deg, I_rel, hkl
19.3, 534, 0 0 3
32.1, 1000, 0 1 1
34.1, 585, 0 1 2
37.1, 434, 1 0 3
51.1, 588, 1 0 6
55.9, 446, 1 1 0